Entry 1:
For Co6P4Au, DFT lattice parameters and positions (PBE) gives the computed X-ray powder pattern in this record (λ = 1.5418 Å (Cu Kα)).

Crystal structure
```
11
Lattice="6.6035 0.0000 0.0000 -3.3017 5.7188 0.0000 0.0000 0.0000 3.3107" Properties=species:S:1:pos:R:3 pbc="T T T"
Co -1.3639 3.0251 0.0000
Co 0.0000 1.4959 1.6554
Co -2.0063 4.9708 1.6554
Co 1.3639 3.0251 0.0000
Co 0.0000 5.3874 0.0000
Co 2.0063 4.9708 1.6554
P 1.4264 0.8235 0.0000
P 0.0000 3.8125 1.6554
P 5.1771 0.8235 0.0000
P 3.3017 4.0717 0.0000
Au 3.3017 1.9063 1.6554
```

Peak list (10 most intense, 2θ = 10–90°, by angle)
d_spacing  Rel. int.
5.719  21
3.304  11
2.862  30
2.338  29
2.163  100
1.655  11
1.651  27
1.430  12
1.314  11
1.169  11

Entry 2:
For CoPb2Au, DFT lattice parameters and positions (PBE) gives the computed X-ray powder pattern in this record (λ = 1.5418 Å (Cu Kα)).

Crystal structure
```
4
Lattice="0.0000 3.5179 3.5179 3.5179 0.0000 3.5179 3.5179 3.5179 0.0000" Properties=species:S:1:pos:R:3 pbc="T T T"
Co 0.0000 0.0000 0.0000
Pb 1.7590 1.7590 1.7590
Pb 3.5179 3.5179 3.5179
Au 5.2769 5.2769 5.2769
```

Peak list (10 most intense, 2θ = 10–90°, by angle)
d_spacing  Rel. int.
4.062  10
3.518  5
2.488  100
2.121  6
1.759  18
1.614  3
1.573  2
1.436  37
1.244  12
1.112  17

Entry 3:
For RbCoAuS3, DFT lattice parameters and positions (PBE) gives the computed X-ray powder pattern in this record (λ = 1.5418 Å (Cu Kα)).

Crystal structure
```
12
Lattice="1.7361 -8.0951 0.0000 1.7361 8.0951 0.0000 0.0000 0.0000 9.5753" Properties=species:S:1:pos:R:3 pbc="T T T"
Rb 1.7361 4.5180 7.1815
Rb 1.7361 -4.5180 2.3938
Co 1.7361 0.0000 0.0000
Co 1.7361 0.0000 4.7877
Au 1.7361 6.4648 2.3938
Au 1.7361 -6.4648 7.1815
S 1.7361 6.5850 0.0765
S 1.7361 6.5850 4.7112
S 1.7361 0.5823 2.3938
S 1.7361 -0.5823 7.1815
S 1.7361 -6.5850 4.8642
S 1.7361 -6.5850 9.4989
```

Peak list (10 most intense, 2θ = 10–90°, by angle)
d_spacing  Rel. int.
8.095  40
6.182  82
4.788  39
3.728  27
2.920  31
2.793  100
2.769  27
2.394  39
2.368  28
2.154  44